# 1
Starting from DFT lattice parameters and positions (PBE), the powder XRD pattern of TbNd12Sc2 was calculated for Cu Kα (weighted mean of Kα1 and Kα2).

The 8 most intense peaks (10° ≤ 2θ ≤ 90°), low angle first:
| 2θ/deg | I/Imax |
| --- | --- |
| 26.23 | 37 |
| 28.93 | 37 |
| 30.59 | 37 |
| 31.19 | 55 |
| 32.01 | 100 |
| 32.95 | 57 |
| 36.59 | 38 |
| 62.30 | 28 |

Cell and atoms:
Lattice parameters (Å, degrees): 6.7308 6.7308 25.6213 90.00 90.00 116.88
Positions (direct):
Tb1 0.2500 0.7500 0.9994
Tb2 0.7500 0.2500 0.0006
Nd1 0.0006 0.5006 0.8718
Nd2 0.0010 0.9990 0.0731
Nd3 0.0211 0.5211 0.3852
Nd4 0.0436 0.9564 0.5589
Nd5 0.2500 0.2500 0.1966
Nd6 0.2500 0.2500 0.3202
Nd7 0.2500 0.2500 0.6798
Nd8 0.2500 0.2500 0.8034
Nd9 0.4564 0.5436 0.5589
Nd10 0.4789 0.9789 0.3852
Nd11 0.4990 0.5010 0.0731
Nd12 0.4994 0.9994 0.8718
Nd13 0.5006 0.0006 0.1282
Nd14 0.5010 0.4990 0.9269
Nd15 0.5211 0.0211 0.6148
Nd16 0.5436 0.4564 0.4411
Nd17 0.7500 0.7500 0.1966
Nd18 0.7500 0.7500 0.3202
Nd19 0.7500 0.7500 0.6798
Nd20 0.7500 0.7500 0.8034
Nd21 0.9564 0.0436 0.4411
Nd22 0.9789 0.4789 0.6148
Nd23 0.9990 0.0010 0.9269
Nd24 0.9994 0.4994 0.1282
Sc1 0.2500 0.7500 0.2592
Sc2 0.2500 0.7500 0.7388
Sc3 0.7500 0.2500 0.2612
Sc4 0.7500 0.2500 0.7408

# 2
Starting from DFT lattice parameters and positions (PBE), the powder XRD pattern of Zr2AlNi was calculated for Cu Kα (weighted mean of Kα1 and Kα2).

The 8 most intense peaks (10° ≤ 2θ ≤ 90°), low angle first:
| 2θ/deg | I/Imax |
| --- | --- |
| 33.60 | 44 |
| 34.04 | 43 |
| 35.10 | 84 |
| 36.29 | 56 |
| 36.77 | 100 |
| 40.97 | 37 |
| 42.11 | 34 |
| 42.63 | 47 |

Cell and atoms:
Lattice parameters (Å, degrees): 5.0571 5.5314 5.5726 105.89 91.48 103.65
Positions (direct):
Zr1 0.1526 0.1237 0.2700
Zr2 0.2494 0.5234 0.8575
Zr3 0.7506 0.4766 0.1425
Zr4 0.8474 0.8763 0.7300
Al1 0.3058 0.7038 0.4107
Al2 0.6942 0.2962 0.5893
Ni1 0.3796 0.0506 0.8210
Ni2 0.6204 0.9494 0.1790

# 3
Starting from DFT lattice parameters and positions (PBE), the powder XRD pattern of K3Tl5Pd2 was calculated for Cu Kα (weighted mean of Kα1 and Kα2).

The 8 most intense peaks (10° ≤ 2θ ≤ 90°), low angle first:
| 2θ/deg | I/Imax |
| --- | --- |
| 14.53 | 18 |
| 18.59 | 51 |
| 28.40 | 100 |
| 33.47 | 15 |
| 34.58 | 49 |
| 37.82 | 17 |
| 38.40 | 40 |
| 58.25 | 21 |

Cell and atoms:
Lattice parameters (Å, degrees): 10.2189 10.2189 10.2189 106.76 88.24 137.93
Positions (direct):
K1 0.1461 0.2464 0.3925
K2 0.2500 0.2500 0.0000
K3 0.3539 0.7464 0.1003
K4 0.6461 0.2536 0.8997
K5 0.7500 0.7500 0.0000
K6 0.8539 0.7536 0.6075
Tl1 0.0122 0.7500 0.2622
Tl2 0.1015 0.6743 0.7758
Tl3 0.2500 0.7500 0.5000
Tl4 0.3985 0.1743 0.5727
Tl5 0.4878 0.7500 0.7378
Tl6 0.5122 0.2500 0.2622
Tl7 0.6015 0.8257 0.4273
Tl8 0.7500 0.2500 0.5000
Tl9 0.8985 0.3257 0.2242
Tl10 0.9878 0.2500 0.7378
Pd1 0.1622 0.8832 0.0453
Pd2 0.3378 0.3832 0.7210
Pd3 0.6622 0.6168 0.2790
Pd4 0.8378 0.1168 0.9547